No. 1
Structure and calculated powder XRD pattern of Rb2TaAsO6 (a cell relaxed with GGA-PBE; Cu Ka).
No peak broadening, texture or thermal motion is included.

Atomic structure:
Cell lengths 5.5950, 5.5950, 5.5950 Å; angles 60.00, 60.00, 60.00 degrees
Sites, in units of the cell vectors:
Rb 0.2500 0.2500 0.2500
Rb 0.7500 0.7500 0.7500
Ta 0.0000 0.0000 0.0000
As 0.5000 0.5000 0.5000
O 0.2572 0.2572 0.7428
O 0.2572 0.7428 0.2572
O 0.2572 0.7428 0.7428
O 0.7428 0.2572 0.2572
O 0.7428 0.2572 0.7428
O 0.7428 0.7428 0.2572

Principal peaks in the range 10° ≤ 2θ ≤ 90°, sorted by position:
| d [Å] | 2θ (°) | Rel. int. |
| --- | --- | --- |
| 4.568 | 19.43 | 13 |
| 3.956 | 22.47 | 11 |
| 2.798 | 31.99 | 100 |
| 2.386 | 37.71 | 9 |
| 1.978 | 45.87 | 32 |
| 1.769 | 51.66 | 4 |
| 1.615 | 57.02 | 39 |
| 1.399 | 66.89 | 19 |
| 1.251 | 76.08 | 17 |
| 1.142 | 84.91 | 7 |

No. 2
Structure and calculated powder XRD pattern of La5TbPrDy2 (a cell relaxed with GGA-PBE; Cu Ka).
No peak broadening, texture or thermal motion is included.

Atomic structure:
Cell lengths 9.8307, 9.8307, 9.8307 Å; angles 122.10, 122.10, 86.41 degrees
Sites, in units of the cell vectors:
La 0.0000 0.0000 0.0000
La 0.0667 0.5667 0.9021
La 0.1646 0.0667 0.5000
La 0.3354 0.8354 0.9021
La 0.4333 0.3354 0.5000
La 0.5000 0.5000 0.0000
La 0.5667 0.6646 0.5000
La 0.6646 0.1646 0.0979
La 0.8354 0.9333 0.5000
La 0.9333 0.4333 0.0979
Tb 0.2500 0.7500 0.5000
Tb 0.7500 0.2500 0.5000
Pr 0.2500 0.2500 0.0000
Pr 0.7500 0.7500 0.0000
Dy 0.1087 0.3913 0.5000
Dy 0.3913 0.8913 0.2827
Dy 0.6087 0.1087 0.7173
Dy 0.8913 0.6087 0.5000

Principal peaks in the range 10° ≤ 2θ ≤ 90°, sorted by position:
| d [Å] | 2θ (°) | Rel. int. |
| --- | --- | --- |
| 3.365 | 26.49 | 58 |
| 3.178 | 28.08 | 59 |
| 3.010 | 29.68 | 18 |
| 2.862 | 31.25 | 100 |
| 2.775 | 32.26 | 13 |
| 2.596 | 34.55 | 29 |
| 2.378 | 37.84 | 19 |
| 2.279 | 39.54 | 20 |
| 2.258 | 39.92 | 13 |
| 1.830 | 49.84 | 17 |